1.
The following is a theoretical X-ray powder pattern of TmLuZn2. It was derived from a DFT-relaxed cell (GGA-PBE, the Materials Project), using Cu Kα X-rays.
Kinematic intensities with the Lorentz-polarization factor, no thermal factor.

Cell and atoms:
a = 6.9945 Å, b = 6.9945 Å, c = 6.9945 Å
α = 90.00°, β = 90.00°, γ = 90.00°
Space group Fm-3m (No. 225)
Asymmetric unit:
Tm1 0.0000 0.0000 0.0000 [4 per cell]
Lu1 0.0000 0.0000 0.5000 [4 per cell]
Zn1 0.2500 0.2500 0.2500 [8 per cell]

Peak list (9 most intense, 2θ from 15° to 90°, low angle first)
| 2theta | intensity | (hkl) |
| --- | --- | --- |
| 25.47 | 206 | 2 0 0 |
| 36.33 | 1000 | 2 2 0 |
| 44.89 | 63 | 2 2 2 |
| 52.32 | 175 | 4 0 0 |
| 59.06 | 87 | 4 2 0 |
| 65.36 | 354 | 4 2 2 |
| 77.14 | 109 | 4 4 0 |
| 82.80 | 45 | 6 0 0 |
| 88.39 | 159 | 6 2 0 |


2.
The following is a theoretical X-ray powder pattern of Fe3Sn. It was derived from a DFT-relaxed cell (GGA-PBE, the Materials Project), using Cu Kα X-rays.
Kinematic intensities with the Lorentz-polarization factor, no thermal factor.

Cell and atoms:
a = 3.1869 Å, b = 3.1869 Å, c = 5.6358 Å
α = 90.00°, β = 90.00°, γ = 90.00°
Space group P4/mmm (No. 123)
Asymmetric unit:
Fe1 0.0000 0.0000 0.0000 [1 per cell]
Fe2 0.5000 0.5000 0.2143 [2 per cell]
Sn1 0.0000 0.0000 0.5000 [1 per cell]

Peak list (10 most intense, 2θ from 15° to 90°, low angle first)
| 2theta | intensity | (hkl) |
| --- | --- | --- |
| 28.00 | 72 | 1 0 0 |
| 32.27 | 208 | 1 0 1 |
| 40.01 | 661 | 1 1 0 |
| 42.84 | 1000 | 1 0 2 |
| 57.87 | 215 | 2 0 0 |
| 64.59 | 69 | 1 1 3 |
| 67.83 | 57 | 2 1 1 |
| 74.62 | 367 | 2 1 2 |
| 80.38 | 120 | 1 1 4 |
| 86.34 | 69 | 2 2 0 |


3.
The following is a theoretical X-ray powder pattern of ThPSe. It was derived from a DFT-relaxed cell (GGA-PBE, the Materials Project), using Cu Kα X-rays.
Kinematic intensities with the Lorentz-polarization factor, no thermal factor.

Cell and atoms:
a = 4.0784 Å, b = 4.0784 Å, c = 8.4434 Å
α = 90.00°, β = 90.00°, γ = 90.00°
Space group P4/nmm (No. 129, origin choice 2)
Asymmetric unit:
Th1 0.2500 0.2500 0.2502 [2 per cell]
P1 0.2500 0.7500 0.0000 [2 per cell]
Se1 0.2500 0.2500 0.6319 [2 per cell]

Peak list (10 most intense, 2θ from 15° to 90°, low angle first)
| 2theta | intensity | (hkl) |
| --- | --- | --- |
| 21.04 | 508 | 0 0 2 |
| 24.24 | 1000 | 1 0 1 |
| 31.01 | 755 | 1 1 0 |
| 37.78 | 823 | 1 1 2 |
| 38.88 | 828 | 1 0 3 |
| 44.43 | 426 | 2 0 0 |
| 51.24 | 285 | 2 1 1 |
| 59.22 | 281 | 1 0 5 |
| 60.49 | 464 | 2 1 3 |
| 76.95 | 266 | 2 1 5 |


4.
The following is a theoretical X-ray powder pattern of SmAl2Ge2. It was derived from a DFT-relaxed cell (GGA-PBE, the Materials Project), using Cu Kα X-rays.
Kinematic intensities with the Lorentz-polarization factor, no thermal factor.

Cell and atoms:
a = 4.3196 Å, b = 4.3196 Å, c = 6.7417 Å
α = 90.00°, β = 90.00°, γ = 120.00°
Space group P-3m1 (No. 164)
Asymmetric unit:
Sm1 0.0000 0.0000 0.0000 [1 per cell]
Al1 0.3333 0.6667 0.6431 [2 per cell]
Ge1 0.3333 0.6667 0.2622 [2 per cell]

Peak list (10 most intense, 2θ from 15° to 90°, low angle first)
| 2theta | intensity | (hkl) |
| --- | --- | --- |
| 27.26 | 1000 | 0 1 1 |
| 35.86 | 679 | 0 1 2 |
| 41.82 | 516 | 1 1 0 |
| 47.18 | 194 | 1 0 3 |
| 50.65 | 181 | 2 0 1 |
| 56.25 | 184 | 2 0 2 |
| 59.35 | 157 | 1 1 3 |
| 67.71 | 150 | 1 2 1 |
| 70.93 | 102 | 1 1 4 |
| 72.49 | 172 | 1 2 2 |


5.
The following is a theoretical X-ray powder pattern of Hg3Rh. It was derived from a DFT-relaxed cell (GGA-PBE, the Materials Project), using Cu Kα X-rays.
Kinematic intensities with the Lorentz-polarization factor, no thermal factor.

Cell and atoms:
a = 6.0124 Å, b = 6.0124 Å, c = 5.0672 Å
α = 90.00°, β = 90.00°, γ = 120.00°
Space group P6_3/mmc (No. 194)
Asymmetric unit:
Hg1 0.1709 0.3418 0.2500 [6 per cell]
Rh1 0.3333 0.6667 0.7500 [2 per cell]

Peak list (10 most intense, 2θ from 15° to 90°, low angle first)
| 2theta | intensity | (hkl) |
| --- | --- | --- |
| 24.51 | 72 | 1 0 1 |
| 34.45 | 231 | 2 0 0 |
| 35.43 | 287 | 0 0 2 |
| 38.89 | 1000 | 2 0 1 |
| 50.25 | 161 | 2 0 2 |
| 61.71 | 173 | 2 2 0 |
| 65.92 | 215 | 2 0 3 |
| 73.22 | 211 | 2 2 2 |
| 75.39 | 146 | 4 0 1 |
| 83.49 | 38 | 4 0 2 |